Pm4Sm6Zr: calculated powder XRD pattern (Cu Kα (λ = 1.5418 Å)), based on a crystal structure in Alexandria, relaxed with GGA-PBE.
No peak broadening, texture or thermal motion is included.

Principal peaks in the range 15 to 90 degrees two-theta, in order of rising 2θ:
- 28.72°, intensity 8
- 29.69°, intensity 100
- 30.43°, intensity 9
- 32.20°, intensity 54
- 36.80°, intensity 9
- 38.52°, intensity 11
- 46.18°, intensity 8
- 46.83°, intensity 11
- 51.05°, intensity 12
- 59.63°, intensity 9
- 60.02°, intensity 20
- 64.30°, intensity 11

Cell and atoms:
Cell lengths 8.7919, 8.7919, 9.3496 Å; angles 90.00, 90.00, 90.00 degrees
Sites, in units of the cell vectors:
Pm 0.1451 0.3549 0.2500
Pm 0.1451 0.3549 0.7500
Pm 0.3549 0.8549 0.2500
Pm 0.3549 0.8549 0.7500
Pm 0.6451 0.1451 0.2500
Pm 0.6451 0.1451 0.7500
Pm 0.8549 0.6451 0.2500
Pm 0.8549 0.6451 0.7500
Sm 0.0000 0.0000 0.1770
Sm 0.0000 0.0000 0.8230
Sm 0.1501 0.6593 0.5000
Sm 0.1593 0.6501 0.0000
Sm 0.3407 0.1501 0.5000
Sm 0.3499 0.1593 0.0000
Sm 0.5000 0.5000 0.3230
Sm 0.5000 0.5000 0.6770
Sm 0.6501 0.8407 0.0000
Sm 0.6593 0.8499 0.5000
Sm 0.8407 0.3499 0.0000
Sm 0.8499 0.3407 0.5000
Zr 0.0000 0.0000 0.5000
Zr 0.5000 0.5000 0.0000

***

CaTiCuO4: calculated powder XRD pattern (Cu Kα (λ = 1.5418 Å)), based on a crystal structure in Alexandria, relaxed with GGA-PBE.
No peak broadening, texture or thermal motion is included.

Principal peaks in the range 15 to 90 degrees two-theta, in order of rising 2θ:
- 25.12°, intensity 54
- 28.17°, intensity 25
- 33.21°, intensity 100
- 33.71°, intensity 30
- 36.38°, intensity 33
- 42.50°, intensity 29
- 46.03°, intensity 98
- 47.24°, intensity 31
- 48.64°, intensity 31
- 53.15°, intensity 25
- 64.44°, intensity 28
- 67.14°, intensity 26

Cell and atoms:
Cell lengths 3.9436, 3.9436, 10.6347 Å; angles 90.00, 90.00, 90.00 degrees
Sites, in units of the cell vectors:
Ca 0.2500 0.2500 0.1291
Ca 0.7500 0.7500 0.8709
Ti 0.2500 0.2500 0.7404
Ti 0.7500 0.7500 0.2596
Cu 0.2500 0.7500 0.5000
Cu 0.7500 0.2500 0.5000
O 0.2500 0.2500 0.5272
O 0.2500 0.2500 0.9133
O 0.2500 0.7500 0.2665
O 0.2500 0.7500 0.7335
O 0.7500 0.2500 0.2665
O 0.7500 0.2500 0.7335
O 0.7500 0.7500 0.0867
O 0.7500 0.7500 0.4728

***

La2HoNpO8: calculated powder XRD pattern (Cu Kα (λ = 1.5418 Å)), based on a crystal structure in Alexandria, relaxed with GGA-PBE.
No peak broadening, texture or thermal motion is included.

Principal peaks in the range 15 to 90 degrees two-theta, in order of rising 2θ:
- 26.35°, intensity 61
- 28.43°, intensity 100
- 28.60°, intensity 50
- 31.95°, intensity 24
- 32.62°, intensity 46
- 44.85°, intensity 41
- 45.60°, intensity 19
- 47.73°, intensity 32
- 47.99°, intensity 16
- 53.33°, intensity 18
- 54.80°, intensity 17
- 55.57°, intensity 16

Cell and atoms:
Cell lengths 3.9934, 7.5826, 5.6225 Å; angles 90.00, 94.88, 90.00 degrees
Sites, in units of the cell vectors:
La 0.0000 0.2435 0.0000
La 0.0000 0.7565 0.0000
Ho 0.5000 0.0000 0.5000
Np 0.5000 0.5000 0.5000
O 0.0163 0.0000 0.2559
O 0.0615 0.5000 0.2875
O 0.4626 0.2793 0.7237
O 0.4626 0.7207 0.7237
O 0.5374 0.2793 0.2763
O 0.5374 0.7207 0.2763
O 0.9385 0.5000 0.7125
O 0.9837 0.0000 0.7441

***

PaNiH6Rh: calculated powder XRD pattern (Cu Kα (λ = 1.5418 Å)), based on a crystal structure in Alexandria, relaxed with GGA-PBE.
No peak broadening, texture or thermal motion is included.

Principal peaks in the range 15 to 90 degrees two-theta, in order of rising 2θ:
- 22.82°, intensity 22
- 31.46°, intensity 100
- 40.07°, intensity 41
- 43.52°, intensity 11
- 49.70°, intensity 6
- 51.81°, intensity 25
- 60.64°, intensity 25
- 67.45°, intensity 23
- 72.35°, intensity 9
- 72.80°, intensity 7
- 86.08°, intensity 6
- 88.81°, intensity 9

Cell and atoms:
Cell lengths 4.5003, 4.5003, 4.1587 Å; angles 90.00, 90.00, 120.00 degrees
Sites, in units of the cell vectors:
Pa 0.0000 0.0000 0.0000
Ni 0.6667 0.3333 0.5000
H 0.5074 0.0148 0.2279
H 0.5074 0.0148 0.7721
H 0.5074 0.4926 0.2279
H 0.5074 0.4926 0.7721
H 0.9852 0.4926 0.2279
H 0.9852 0.4926 0.7721
Rh 0.3333 0.6667 0.5000

***

Bi2RuPbO8: calculated powder XRD pattern (Cu Kα (λ = 1.5418 Å)), based on a crystal structure in Alexandria, relaxed with GGA-PBE.
No peak broadening, texture or thermal motion is included.

Principal peaks in the range 15 to 90 degrees two-theta, in order of rising 2θ:
- 24.21°, intensity 56
- 24.57°, intensity 56
- 31.64°, intensity 100
- 34.67°, intensity 16
- 34.85°, intensity 17
- 47.47°, intensity 20
- 47.57°, intensity 18
- 47.86°, intensity 22
- 47.96°, intensity 19
- 49.60°, intensity 10
- 60.26°, intensity 20
- 60.48°, intensity 21

Cell and atoms:
Cell lengths 5.1487, 6.7601, 5.1745 Å; angles 90.00, 90.82, 90.00 degrees
Sites, in units of the cell vectors:
Bi 0.0000 0.2468 0.0000
Bi 0.0000 0.7532 0.0000
Ru 0.5000 0.0000 0.5000
Pb 0.5000 0.5000 0.5000
O 0.1707 0.5000 0.7978
O 0.2216 0.0000 0.7144
O 0.3416 0.2258 0.3001
O 0.3416 0.7742 0.3001
O 0.6584 0.2258 0.6999
O 0.6584 0.7742 0.6999
O 0.7784 0.0000 0.2856
O 0.8293 0.5000 0.2022

***

Ba2SnB: calculated powder XRD pattern (Cu Kα (λ = 1.5418 Å)), based on a crystal structure in Alexandria, relaxed with GGA-PBE.
No peak broadening, texture or thermal motion is included.

Principal peaks in the range 15 to 90 degrees two-theta, in order of rising 2θ:
- 23.50°, intensity 35
- 25.68°, intensity 100
- 29.86°, intensity 27
- 33.44°, intensity 52
- 36.71°, intensity 15
- 42.46°, intensity 14
- 42.68°, intensity 16
- 44.12°, intensity 14
- 50.53°, intensity 17
- 56.27°, intensity 11
- 64.16°, intensity 12
- 66.22°, intensity 11

Cell and atoms:
Cell lengths 8.7646, 8.7646, 8.7646 Å; angles 93.87, 93.87, 149.87 degrees
Sites, in units of the cell vectors:
Ba 0.3750 0.1839 0.3089
Ba 0.8161 0.1250 0.1911
Ba 0.8750 0.0661 0.6911
Ba 0.9339 0.6250 0.8089
Sn 0.2500 0.7500 0.5000
Sn 0.5000 0.5000 0.0000
B 0.0000 0.0000 0.0000
B 0.7500 0.2500 0.5000